Structure and simulated X-ray diffraction stick pattern of ThNi2H2 (a crystal structure in Alexandria, relaxed with GGA-PBE; a wavelength of 1.5418 Å).
Kinematic intensities with the Lorentz-polarization factor, no thermal factor.

Top 10 peaks for 15 to 90 degrees two-theta, in order of falling intensity:
hkl 1 0 1, 34.92 deg, d = 2.569 Å, rel. 100; hkl 1 1 0, 41.66 deg, d = 2.168 Å, rel. 47; hkl 1 0 0, 23.70 deg, d = 3.755 Å, rel. 38; hkl 2 0 1, 55.46 deg, d = 1.657 Å, rel. 27; hkl 2 1 1, 71.69 deg, d = 1.316 Å, rel. 25; hkl 1 1 2, 68.66 deg, d = 1.367 Å, rel. 21; hkl 0 0 2, 51.92 deg, d = 1.761 Å, rel. 8; hkl 3 0 0, 76.04 deg, d = 1.252 Å, rel. 8; hkl 1 0 3, 86.93 deg, d = 1.121 Å, rel. 8; hkl 1 0 2, 57.82 deg, d = 1.595 Å, rel. 8

Atomic structure:
```
data_ThNi2H2
_space_group_name_H-M_alt 'P 6/m m m'
_space_group_IT_number 191
_space_group_name_Hall '-P 6 2'
_cell_length_a 4.3358
_cell_length_b 4.3358
_cell_length_c 3.5225
_cell_angle_alpha 90.00
_cell_angle_beta 90.00
_cell_angle_gamma 120.00
loop_
_atom_site_label
_atom_site_fract_x
_atom_site_fract_y
_atom_site_fract_z
_atom_site_occupancy
Th1 0.0000 0.0000 0.0000 1
Ni1 0.3333 0.6667 0.5000 1
H1 0.3333 0.6667 0.0000 1
```